For HfBe2As, a structure optimized by DFT (GGA-PBE) gives the calculated X-ray diffraction stick pattern in this record (Cu Kα, 1.54184 Å).
Intensities are scaled so that the largest is 100.

Largest 10 diffraction maxima, in order of rising 2θ, 2θ = 10–90°:
2θ = 24.87°, rel. 100; 2θ = 28.80°, rel. 15; 2θ = 41.18°, rel. 84; 2θ = 48.71°, rel. 50; 2θ = 59.65°, rel. 14; 2θ = 65.64°, rel. 21; 2θ = 67.57°, rel. 6; 2θ = 75.06°, rel. 29; 2θ = 80.50°, rel. 16; 2θ = 89.40°, rel. 10

a = 4.3839 Å, b = 4.3839 Å, c = 4.3839 Å
α = 60.00°, β = 60.00°, γ = 60.00°
Element x y z (fractional)
Hf1 0.0000 0.0000 0.0000
Be1 0.2500 0.2500 0.2500
Be2 0.5000 0.5000 0.5000
As1 0.7500 0.7500 0.7500

---

For ErFeCoSi2, a structure optimized by DFT (GGA-PBE) gives the calculated X-ray diffraction stick pattern in this record (Cu Kα, 1.54184 Å).
Intensities are scaled so that the largest is 100.

Largest 10 diffraction maxima, in order of rising 2θ, 2θ = 10–90°:
2θ = 24.65°, rel. 58; 2θ = 36.49°, rel. 60; 2θ = 37.68°, rel. 100; 2θ = 37.80°, rel. 16; 2θ = 46.54°, rel. 40; 2θ = 53.55°, rel. 18; 2θ = 60.54°, rel. 27; 2θ = 61.44°, rel. 15; 2θ = 68.17°, rel. 19; 2θ = 80.40°, rel. 28

a = 5.5025 Å, b = 5.5025 Å, c = 5.5025 Å
α = 138.46°, β = 138.46°, γ = 60.20°
Element x y z (fractional)
Er1 0.0000 0.0000 0.0000
Fe1 0.7500 0.2500 0.5000
Co1 0.2500 0.7500 0.5000
Si1 0.3695 0.3695 0.0000
Si2 0.6305 0.6305 0.0000

---

For Zr3TlF15, a structure optimized by DFT (GGA-PBE) gives the calculated X-ray diffraction stick pattern in this record (Cu Kα, 1.54184 Å).
Intensities are scaled so that the largest is 100.

Largest 10 diffraction maxima, in order of rising 2θ, 2θ = 10–90°:
2θ = 23.47°, rel. 100; 2θ = 24.06°, rel. 18; 2θ = 25.75°, rel. 23; 2θ = 29.82°, rel. 28; 2θ = 32.12°, rel. 16; 2θ = 46.72°, rel. 21; 2θ = 47.04°, rel. 25; 2θ = 55.27°, rel. 29; 2θ = 56.40°, rel. 18; 2θ = 77.15°, rel. 17

a = 7.8470 Å, b = 7.8470 Å, c = 7.8470 Å
α = 99.57°, β = 99.57°, γ = 99.57°
Element x y z (fractional)
Zr1 0.1830 0.7500 0.3170
Zr2 0.2500 0.6830 0.8170
Zr3 0.3170 0.1830 0.7500
Zr4 0.6830 0.8170 0.2500
Zr5 0.7500 0.3170 0.1830
Zr6 0.8170 0.2500 0.6830
Tl1 0.2500 0.2500 0.2500
Tl2 0.7500 0.7500 0.7500
F1 0.0312 0.4688 0.7500
F2 0.0325 0.8099 0.7807
F3 0.0433 0.1451 0.6628
F4 0.1451 0.6628 0.0433
F5 0.1628 0.6451 0.5433
F6 0.1901 0.2193 0.9675
F7 0.2193 0.9675 0.1901
F8 0.2500 0.9688 0.5312
F9 0.2807 0.3099 0.5325
F10 0.3099 0.5325 0.2807
F11 0.3372 0.9567 0.8549
F12 0.3549 0.4567 0.8372
F13 0.4567 0.8372 0.3549
F14 0.4675 0.7193 0.6901
F15 0.4688 0.7500 0.0312
F16 0.5312 0.2500 0.9688
F17 0.5325 0.2807 0.3099
F18 0.5433 0.1628 0.6451
F19 0.6451 0.5433 0.1628
F20 0.6628 0.0433 0.1451
F21 0.6901 0.4675 0.7193
F22 0.7193 0.6901 0.4675
F23 0.7500 0.0312 0.4688
F24 0.7807 0.0325 0.8099
F25 0.8099 0.7807 0.0325
F26 0.8372 0.3549 0.4567
F27 0.8549 0.3372 0.9567
F28 0.9567 0.8549 0.3372
F29 0.9675 0.1901 0.2193
F30 0.9688 0.5312 0.2500

---

For PbAu10, a structure optimized by DFT (GGA-PBE) gives the calculated X-ray diffraction stick pattern in this record (Cu Kα, 1.54184 Å).
Intensities are scaled so that the largest is 100.

Largest 10 diffraction maxima, in order of rising 2θ, 2θ = 10–90°:
2θ = 36.04°, rel. 100; 2θ = 37.65°, rel. 95; 2θ = 38.16°, rel. 82; 2θ = 38.33°, rel. 79; 2θ = 42.53°, rel. 42; 2θ = 44.14°, rel. 79; 2θ = 44.27°, rel. 17; 2θ = 63.00°, rel. 27; 2θ = 64.17°, rel. 39; 2θ = 77.36°, rel. 21

a = 5.0018 Å, b = 5.0018 Å, c = 33.5075 Å
α = 90.36°, β = 90.36°, γ = 48.39°
Element x y z (fractional)
Pb1 0.1582 0.1582 0.1943
Pb2 0.8418 0.8418 0.8057
Au1 0.0486 0.0486 0.6847
Au2 0.0496 0.0496 0.4010
Au3 0.1448 0.1448 0.7718
Au4 0.1501 0.1501 0.4857
Au5 0.2486 0.2486 0.2871
Au6 0.2499 0.2499 0.5710
Au7 0.3503 0.3503 0.3719
Au8 0.3497 0.3497 0.6558
Au9 0.4495 0.4495 0.4575
Au10 0.4509 0.4509 0.7432
Au11 0.5491 0.5491 0.2568
Au12 0.5505 0.5505 0.5425
Au13 0.6503 0.6503 0.3442
Au14 0.6497 0.6497 0.6281
Au15 0.7501 0.7501 0.4290
Au16 0.7514 0.7514 0.7129
Au17 0.8499 0.8499 0.5143
Au18 0.8552 0.8552 0.2282
Au19 0.9504 0.9504 0.5990
Au20 0.9514 0.9514 0.3153

---

For Mg2SnPd3, a structure optimized by DFT (GGA-PBE) gives the calculated X-ray diffraction stick pattern in this record (Cu Kα, 1.54184 Å).
Intensities are scaled so that the largest is 100.

Largest 10 diffraction maxima, in order of rising 2θ, 2θ = 10–90°:
2θ = 15.94°, rel. 10; 2θ = 22.52°, rel. 15; 2θ = 27.71°, rel. 34; 2θ = 39.53°, rel. 97; 2θ = 39.64°, rel. 100; 2θ = 57.22°, rel. 34; 2θ = 71.75°, rel. 51; 2θ = 72.01°, rel. 17; 2θ = 85.10°, rel. 11; 2θ = 85.40°, rel. 11

a = 4.5599 Å, b = 4.5599 Å, c = 5.5614 Å
α = 90.00°, β = 90.00°, γ = 120.00°
Element x y z (fractional)
Mg1 0.3333 0.6667 0.1617
Mg2 0.6667 0.3333 0.8383
Sn1 0.0000 0.0000 0.5000
Pd1 0.0000 0.0000 0.0000
Pd2 0.3333 0.6667 0.6683
Pd3 0.6667 0.3333 0.3317

---

For ThZn, a structure optimized by DFT (GGA-PBE) gives the calculated X-ray diffraction stick pattern in this record (Cu Kα, 1.54184 Å).
Intensities are scaled so that the largest is 100.

Largest 10 diffraction maxima, in order of rising 2θ, 2θ = 10–90°:
2θ = 10.89°, rel. 17; 2θ = 27.41°, rel. 33; 2θ = 28.56°, rel. 15; 2θ = 31.28°, rel. 22; 2θ = 31.76°, rel. 14; 2θ = 33.00°, rel. 57; 2θ = 35.48°, rel. 100; 2θ = 37.09°, rel. 31; 2θ = 46.10°, rel. 15; 2θ = 60.54°, rel. 22

a = 6.7322 Å, b = 5.4306 Å, c = 8.2987 Å
α = 90.00°, β = 101.68°, γ = 90.00°
Element x y z (fractional)
Th1 0.1490 0.2500 0.1120
Th2 0.2906 0.2500 0.6833
Th3 0.3504 0.7500 0.9608
Th4 0.6496 0.2500 0.0392
Th5 0.7094 0.7500 0.3167
Th6 0.8510 0.7500 0.8880
Zn1 0.0707 0.7500 0.5969
Zn2 0.2032 0.7500 0.3167
Zn3 0.4791 0.7500 0.5975
Zn4 0.5209 0.2500 0.4025
Zn5 0.7968 0.2500 0.6833
Zn6 0.9293 0.2500 0.4031

---

For Nd2HoCo2B2N3, a structure optimized by DFT (GGA-PBE) gives the calculated X-ray diffraction stick pattern in this record (Cu Kα, 1.54184 Å).
Intensities are scaled so that the largest is 100.

Largest 10 diffraction maxima, in order of rising 2θ, 2θ = 10–90°:
2θ = 28.34°, rel. 100; 2θ = 33.75°, rel. 69; 2θ = 35.40°, rel. 39; 2θ = 36.39°, rel. 44; 2θ = 36.58°, rel. 39; 2θ = 39.97°, rel. 26; 2θ = 45.13°, rel. 27; 2θ = 50.93°, rel. 36; 2θ = 59.30°, rel. 37; 2θ = 64.19°, rel. 32

a = 10.1971 Å, b = 10.1971 Å, c = 10.1971 Å
α = 159.74°, β = 159.74°, γ = 28.80°
Element x y z (fractional)
Nd1 0.1264 0.1264 0.0000
Nd2 0.8736 0.8736 0.0000
Ho1 0.5000 0.5000 0.0000
Co1 0.2500 0.7500 0.5000
Co2 0.7500 0.2500 0.5000
B1 0.3044 0.3044 0.0000
B2 0.6956 0.6956 0.0000
N1 0.0000 0.0000 0.0000
N2 0.3805 0.3805 0.0000
N3 0.6195 0.6195 0.0000

---

For SnAu17, a structure optimized by DFT (GGA-PBE) gives the calculated X-ray diffraction stick pattern in this record (Cu Kα, 1.54184 Å).
Intensities are scaled so that the largest is 100.

Largest 10 diffraction maxima, in order of rising 2θ, 2θ = 10–90°:
2θ = 35.47°, rel. 42; 2θ = 37.46°, rel. 99; 2θ = 38.37°, rel. 100; 2θ = 42.18°, rel. 26; 2θ = 43.75°, rel. 83; 2θ = 62.90°, rel. 27; 2θ = 64.30°, rel. 37; 2θ = 73.75°, rel. 17; 2θ = 75.62°, rel. 29; 2θ = 77.36°, rel. 17

a = 5.7967 Å, b = 5.7967 Å, c = 32.8990 Å
α = 90.00°, β = 90.00°, γ = 120.00°
Element x y z (fractional)
Sn1 0.3333 0.6667 0.3071
Sn2 0.6667 0.3333 0.6929
Au1 0.0000 0.0000 0.0000
Au2 0.0000 0.0000 0.2235
Au3 0.0000 0.0000 0.7765
Au4 0.0000 0.5000 0.0000
Au5 0.0016 0.5008 0.2239
Au6 0.1662 0.3324 0.1485
Au7 0.1662 0.8338 0.1485
Au8 0.1667 0.3334 0.6988
Au9 0.1667 0.3334 0.9257
Au10 0.1667 0.8333 0.6988
Au11 0.1667 0.8333 0.9257
Au12 0.3324 0.1662 0.8515
Au13 0.3334 0.1667 0.0743
Au14 0.3334 0.1667 0.3012
Au15 0.3333 0.6667 0.0744
Au16 0.3333 0.6667 0.8508
Au17 0.4992 0.5008 0.2239
Au18 0.4992 0.9984 0.2239
Au19 0.5000 0.0000 0.0000
Au20 0.5000 0.5000 0.0000
Au21 0.5008 0.0016 0.7761
Au22 0.5008 0.4992 0.7761
Au23 0.6667 0.3333 0.1492
Au24 0.6667 0.3333 0.9256
Au25 0.6666 0.8333 0.6988
Au26 0.6666 0.8333 0.9257
Au27 0.6676 0.8338 0.1485
Au28 0.8333 0.1667 0.0743
Au29 0.8333 0.1667 0.3012
Au30 0.8333 0.6666 0.0743
Au31 0.8333 0.6666 0.3012
Au32 0.8338 0.1662 0.8515
Au33 0.8338 0.6676 0.8515
Au34 0.9984 0.4992 0.7761

---

For Y4Zn3Co2, a structure optimized by DFT (GGA-PBE) gives the calculated X-ray diffraction stick pattern in this record (Cu Kα, 1.54184 Å).
Intensities are scaled so that the largest is 100.

Largest 10 diffraction maxima, in order of rising 2θ, 2θ = 10–90°:
2θ = 32.03°, rel. 19; 2θ = 32.52°, rel. 29; 2θ = 34.88°, rel. 100; 2θ = 35.81°, rel. 95; 2θ = 39.18°, rel. 41; 2θ = 40.36°, rel. 15; 2θ = 43.38°, rel. 17; 2θ = 49.89°, rel. 28; 2θ = 60.18°, rel. 15; 2θ = 65.21°, rel. 17

a = 7.0048 Å, b = 3.6554 Å, c = 7.5629 Å
α = 90.00°, β = 106.83°, γ = 90.00°
Element x y z (fractional)
Y1 0.0854 0.0000 0.2239
Y2 0.3929 0.0000 0.7076
Y3 0.6071 0.0000 0.2924
Y4 0.9146 0.0000 0.7761
Zn1 0.0000 0.5000 0.5000
Zn2 0.3023 0.5000 0.0197
Zn3 0.6977 0.5000 0.9803
Co1 0.3465 0.5000 0.3961
Co2 0.6535 0.5000 0.6039

---

For TlCu2IrS4, a structure optimized by DFT (GGA-PBE) gives the calculated X-ray diffraction stick pattern in this record (Cu Kα, 1.54184 Å).
Intensities are scaled so that the largest is 100.

Largest 10 diffraction maxima, in order of rising 2θ, 2θ = 10–90°:
2θ = 15.54°, rel. 50; 2θ = 16.70°, rel. 59; 2θ = 20.70°, rel. 82; 2θ = 22.96°, rel. 42; 2θ = 24.42°, rel. 70; 2θ = 29.26°, rel. 59; 2θ = 31.80°, rel. 81; 2θ = 32.87°, rel. 55; 2θ = 36.01°, rel. 100; 2θ = 45.64°, rel. 58

a = 7.2914 Å, b = 9.5542 Å, c = 9.5542 Å
α = 146.25°, β = 90.00°, γ = 90.00°
Element x y z (fractional)
Tl1 0.2500 0.1854 0.8146
Tl2 0.7500 0.8146 0.1854
Cu1 0.0000 0.2871 0.2871
Cu2 0.2500 0.6380 0.8550
Cu3 0.5000 0.2871 0.2871
Cu4 0.7500 0.8550 0.6380
Ir1 0.2500 0.1237 0.3831
Ir2 0.7500 0.3831 0.1237
S1 0.0013 0.3799 0.5964
S2 0.2500 0.0175 0.0584
S3 0.2500 0.7630 0.2006
S4 0.4987 0.3799 0.5964
S5 0.5013 0.5964 0.3799
S6 0.7500 0.0584 0.0175
S7 0.7500 0.2006 0.7630
S8 0.9987 0.5964 0.3799

---

For Rb2HfS3, a structure optimized by DFT (GGA-PBE) gives the calculated X-ray diffraction stick pattern in this record (Cu Kα, 1.54184 Å).
Intensities are scaled so that the largest is 100.

Largest 10 diffraction maxima, in order of rising 2θ, 2θ = 10–90°:
2θ = 11.11°, rel. 26; 2θ = 13.20°, rel. 21; 2θ = 23.04°, rel. 40; 2θ = 25.22°, rel. 29; 2θ = 27.31°, rel. 45; 2θ = 29.44°, rel. 50; 2θ = 30.05°, rel. 100; 2θ = 41.24°, rel. 41; 2θ = 43.87°, rel. 29; 2θ = 46.91°, rel. 32

a = 8.0039 Å, b = 3.8746 Å, c = 10.6507 Å
α = 90.00°, β = 95.96°, γ = 90.00°
Element x y z (fractional)
Rb1 0.0824 0.2500 0.1461
Rb2 0.2480 0.7500 0.4808
Rb3 0.7520 0.2500 0.5192
Rb4 0.9176 0.7500 0.8539
Hf1 0.4050 0.2500 0.8348
Hf2 0.5950 0.7500 0.1652
S1 0.1428 0.2500 0.7036
S2 0.3209 0.7500 0.9841
S3 0.4595 0.2500 0.2802
S4 0.5405 0.7500 0.7198
S5 0.6791 0.2500 0.0159
S6 0.8572 0.7500 0.2964

---

For LaAl5CuPt, a structure optimized by DFT (GGA-PBE) gives the calculated X-ray diffraction stick pattern in this record (Cu Kα, 1.54184 Å).
Intensities are scaled so that the largest is 100.

Largest 10 diffraction maxima, in order of rising 2θ, 2θ = 10–90°:
2θ = 15.17°, rel. 38; 2θ = 23.45°, rel. 22; 2θ = 24.58°, rel. 42; 2θ = 29.83°, rel. 23; 2θ = 30.89°, rel. 100; 2θ = 34.23°, rel. 39; 2θ = 44.07°, rel. 21; 2θ = 44.43°, rel. 33; 2θ = 47.40°, rel. 39; 2θ = 64.37°, rel. 22

a = 6.4566 Å, b = 6.4566 Å, c = 6.4566 Å
α = 142.88°, β = 111.76°, γ = 80.32°
Element x y z (fractional)
La1 0.0000 0.0000 0.0000
Al1 0.1573 0.3454 0.8119
Al2 0.4576 0.6471 0.8105
Al3 0.4879 0.9879 0.5000
Al4 0.5335 0.3454 0.1881
Al5 0.8366 0.6471 0.1895
Cu1 0.2480 0.7480 0.5000
Pt1 0.7347 0.2347 0.5000